Calculated X-ray powder pattern of Er3Ge2Rh2 for Cu Kα, 1.54184 Å, from a crystal structure in Alexandria, relaxed with GGA-PBE.
Lines closer than 0.1° are merged.

The 6 most intense peaks (10° ≤ 2θ ≤ 90°), most intense first:
40.08°, I = 100
34.90°, I = 100
38.58°, I = 82
33.61°, I = 65
34.28°, I = 54
35.77°, I = 52

Structure:
Unit cell a=5.5613 b=7.7133 c=13.2243 alpha=90.00 beta=90.00 gamma=90.00
Sites, in units of the cell vectors:
1 Er 0.1288 0.2369 0.2500
2 Er 0.1288 0.2631 0.7500
3 Er 0.3543 0.6023 0.1000
4 Er 0.3543 0.6023 0.4000
5 Er 0.3543 0.8977 0.6000
6 Er 0.3543 0.8977 0.9000
7 Er 0.6457 0.1023 0.1000
8 Er 0.6457 0.1023 0.4000
9 Er 0.6457 0.3977 0.6000
10 Er 0.6457 0.3977 0.9000
11 Er 0.8712 0.7369 0.2500
12 Er 0.8712 0.7631 0.7500
13 Ge 0.1700 0.2500 0.0000
14 Ge 0.1700 0.2500 0.5000
15 Ge 0.3756 0.6139 0.7500
16 Ge 0.3756 0.8861 0.2500
17 Ge 0.6244 0.1139 0.7500
18 Ge 0.6244 0.3861 0.2500
19 Ge 0.8300 0.7500 0.0000
20 Ge 0.8300 0.7500 0.5000
21 Rh 0.1266 0.5463 0.5928
22 Rh 0.1266 0.5463 0.9072
23 Rh 0.1266 0.9537 0.0928
24 Rh 0.1266 0.9537 0.4072
25 Rh 0.8734 0.0463 0.5928
26 Rh 0.8734 0.0463 0.9072
27 Rh 0.8734 0.4537 0.0928
28 Rh 0.8734 0.4537 0.4072

=====

Calculated X-ray powder pattern of NpCo4Tc for Cu Kα, 1.54184 Å, from a crystal structure in Alexandria, relaxed with GGA-PBE.
Lines closer than 0.1° are merged.

The 6 most intense peaks (10° ≤ 2θ ≤ 90°), most intense first:
43.79°, I = 100
37.09°, I = 64
71.50°, I = 30
22.46°, I = 27
66.85°, I = 23
78.99°, I = 21

Structure:
Unit cell a=4.8483 b=4.8483 c=4.8483 alpha=60.00 beta=60.00 gamma=60.00
Sites, in units of the cell vectors:
1 Np 0.0000 0.0000 0.0000
2 Co 0.1271 0.6243 0.6243
3 Co 0.6243 0.1271 0.6243
4 Co 0.6243 0.6243 0.1271
5 Co 0.6243 0.6243 0.6243
6 Tc 0.2500 0.2500 0.2500

=====

Calculated X-ray powder pattern of CsNaMnH6 for Cu Kα, 1.54184 Å, from a crystal structure in Alexandria, relaxed with GGA-PBE.
Lines closer than 0.1° are merged.

The 6 most intense peaks (10° ≤ 2θ ≤ 90°), most intense first:
24.78°, I = 100
32.57°, I = 35
18.63°, I = 26
46.82°, I = 25
41.35°, I = 24
53.60°, I = 22

Structure:
Unit cell a=5.4777 b=5.5008 c=5.5008 alpha=59.91 beta=90.00 gamma=90.00
Sites, in units of the cell vectors:
1 Cs 0.0000 0.0000 0.0000
2 Na 0.5000 0.3336 0.3336
3 Mn 0.5000 0.6665 0.6665
4 H 0.3042 0.5371 0.9246
5 H 0.3039 0.5376 0.5376
6 H 0.3042 0.9246 0.5371
7 H 0.6958 0.5371 0.9246
8 H 0.6961 0.5376 0.5376
9 H 0.6958 0.9246 0.5371

=====

Calculated X-ray powder pattern of Bi2B8O15 for Cu Kα, 1.54184 Å, from a crystal structure in Alexandria, relaxed with GGA-PBE.
Lines closer than 0.1° are merged.

The 6 most intense peaks (10° ≤ 2θ ≤ 90°), most intense first:
14.42°, I = 100
21.26°, I = 83
20.80°, I = 79
23.18°, I = 77
45.48°, I = 74
31.07°, I = 65

Structure:
Unit cell a=4.3763 b=23.0261 c=6.5618 alpha=90.00 beta=103.82 gamma=90.00
Sites, in units of the cell vectors:
1 Bi 0.0600 0.0000 0.3893
2 Bi 0.2547 0.1322 0.1428
3 Bi 0.7453 0.6322 0.8572
4 Bi 0.9400 0.5000 0.6107
5 B 0.0181 0.1368 0.5680
6 B 0.0263 0.3147 0.2611
7 B 0.0512 0.2915 0.9104
8 B 0.0747 0.2466 0.5659
9 B 0.1498 0.8846 0.0157
10 B 0.2796 0.4946 0.2454
11 B 0.2944 0.9927 0.9707
12 B 0.4085 0.6333 0.2174
13 B 0.5915 0.1333 0.7826
14 B 0.7056 0.4927 0.0293
15 B 0.7204 0.9946 0.7546
16 B 0.8502 0.3846 0.9843
17 B 0.9253 0.7466 0.4341
18 B 0.9488 0.7915 0.0896
19 B 0.9737 0.8147 0.7389
20 B 0.9819 0.6368 0.4320
21 O 0.0447 0.0944 0.4051
22 O 0.0463 0.9977 0.7737
23 O 0.0550 0.2995 0.4643
24 O 0.0562 0.1947 0.4677
25 O 0.0855 0.8440 0.1585
26 O 0.1064 0.8680 0.8061
27 O 0.1136 0.2489 0.7824
28 O 0.1280 0.2781 0.1231
29 O 0.2434 0.6369 0.0118
30 O 0.2514 0.9376 0.0873
31 O 0.2665 0.1286 0.7645
32 O 0.2706 0.0378 0.1269
33 O 0.2951 0.6339 0.3929
34 O 0.3928 0.4926 0.0692
35 O 0.4452 0.4937 0.4512
36 O 0.5548 0.9937 0.5488
37 O 0.6072 0.9926 0.9308
38 O 0.7049 0.1339 0.6071
39 O 0.7294 0.5378 0.8731
40 O 0.7335 0.6286 0.2355
41 O 0.7486 0.4376 0.9127
42 O 0.7566 0.1369 0.9882
43 O 0.8720 0.7781 0.8769
44 O 0.8864 0.7489 0.2176
45 O 0.8936 0.3680 0.1939
46 O 0.9145 0.3440 0.8415
47 O 0.9438 0.6947 0.5323
48 O 0.9450 0.7995 0.5357
49 O 0.9537 0.4977 0.2263
50 O 0.9553 0.5944 0.5949

=====

Calculated X-ray powder pattern of CuSb2Se4 for Cu Kα, 1.54184 Å, from a crystal structure in Alexandria, relaxed with GGA-PBE.
Lines closer than 0.1° are merged.

The 6 most intense peaks (10° ≤ 2θ ≤ 90°), most intense first:
34.14°, I = 100
33.66°, I = 86
23.35°, I = 79
27.49°, I = 62
33.92°, I = 61
31.48°, I = 59

Structure:
Unit cell a=6.4597 b=7.6194 c=7.7200 alpha=90.00 beta=106.48 gamma=90.00
Sites, in units of the cell vectors:
1 Cu 0.1736 0.2500 0.2733
2 Cu 0.8264 0.7500 0.7267
3 Sb 0.2278 0.7500 0.0872
4 Sb 0.2383 0.7500 0.5538
5 Sb 0.7617 0.2500 0.4462
6 Sb 0.7722 0.2500 0.9128
7 Se 0.0032 0.5259 0.2483
8 Se 0.0032 0.9741 0.2483
9 Se 0.4466 0.2500 0.5999
10 Se 0.4608 0.2500 0.1266
11 Se 0.5392 0.7500 0.8734
12 Se 0.5534 0.7500 0.4001
13 Se 0.9968 0.0259 0.7517
14 Se 0.9968 0.4741 0.7517

=====

Calculated X-ray powder pattern of CaAgF5 for Cu Kα, 1.54184 Å, from a crystal structure in Alexandria, relaxed with GGA-PBE.
Lines closer than 0.1° are merged.

The 6 most intense peaks (10° ≤ 2θ ≤ 90°), most intense first:
20.97°, I = 100
24.98°, I = 56
16.89°, I = 56
25.76°, I = 52
26.66°, I = 48
24.00°, I = 37

Structure:
Unit cell a=5.7429 b=5.8163 c=8.1251 alpha=109.62 beta=96.25 gamma=109.25
Sites, in units of the cell vectors:
1 Ca 0.0403 0.2852 0.2458
2 Ca 0.9597 0.7148 0.7542
3 Ag 0.5000 0.0000 0.5000
4 Ag 0.5000 0.5000 0.0000
5 F 0.1855 0.7183 0.5241
6 F 0.1964 0.1433 0.9669
7 F 0.2406 0.5953 0.8710
8 F 0.2751 0.1275 0.3837
9 F 0.3894 0.6301 0.2368
10 F 0.6106 0.3699 0.7632
11 F 0.7249 0.8725 0.6163
12 F 0.7594 0.4047 0.1290
13 F 0.8036 0.8567 0.0331
14 F 0.8145 0.2817 0.4759

=====

Calculated X-ray powder pattern of LiMo2Pt9 for Cu Kα, 1.54184 Å, from a crystal structure in Alexandria, relaxed with GGA-PBE.
Lines closer than 0.1° are merged.

The 6 most intense peaks (10° ≤ 2θ ≤ 90°), most intense first:
39.52°, I = 100
45.94°, I = 64
39.38°, I = 50
39.75°, I = 49
46.08°, I = 32
67.23°, I = 20

Structure:
Unit cell a=4.8433 b=6.2361 c=6.2447 alpha=83.99 beta=82.47 gamma=82.06
Sites, in units of the cell vectors:
1 Li 0.0000 0.0000 0.0000
2 Mo 0.2660 0.5766 0.9105
3 Mo 0.7340 0.4234 0.0895
4 Pt 0.0059 0.3280 0.6856
5 Pt 0.2460 0.9152 0.5934
6 Pt 0.2474 0.2566 0.2413
7 Pt 0.4930 0.8275 0.1621
8 Pt 0.5000 0.5000 0.5000
9 Pt 0.5070 0.1725 0.8379
10 Pt 0.7526 0.7434 0.7587
11 Pt 0.7540 0.0848 0.4066
12 Pt 0.9941 0.6720 0.3144

=====

Calculated X-ray powder pattern of Mg2Co3Si4 for Cu Kα, 1.54184 Å, from a crystal structure in Alexandria, relaxed with GGA-PBE.
Lines closer than 0.1° are merged.

The 6 most intense peaks (10° ≤ 2θ ≤ 90°), most intense first:
15.63°, I = 100
44.13°, I = 62
43.34°, I = 59
45.01°, I = 41
21.65°, I = 27
52.65°, I = 26

Structure:
Unit cell a=7.1190 b=6.2197 c=5.0116 alpha=77.85 beta=58.66 gamma=43.49
Sites, in units of the cell vectors:
1 Mg 0.1215 0.1215 0.8785
2 Mg 0.8785 0.8785 0.1215
3 Co 0.0000 0.0000 0.5000
4 Co 0.5000 0.5000 0.0000
5 Co 0.5000 0.5000 0.5000
6 Si 0.1657 0.5214 0.4786
7 Si 0.4786 0.8343 0.1657
8 Si 0.5214 0.1657 0.8343
9 Si 0.8343 0.4786 0.5214

=====

Calculated X-ray powder pattern of NbHW for Cu Kα, 1.54184 Å, from a crystal structure in Alexandria, relaxed with GGA-PBE.
Lines closer than 0.1° are merged.

The 6 most intense peaks (10° ≤ 2θ ≤ 90°), most intense first:
38.27°, I = 100
37.62°, I = 26
38.44°, I = 25
18.56°, I = 14
68.42°, I = 9
69.50°, I = 9

Structure:
Unit cell a=4.6832 b=3.3070 c=4.7815 alpha=90.00 beta=90.24 gamma=90.00
Sites, in units of the cell vectors:
1 Nb 0.0000 0.0000 0.0000
2 Nb 0.5000 0.5000 0.0000
3 H 0.1271 0.5000 0.1639
4 H 0.6271 0.0000 0.1639
5 W 0.4941 0.0000 0.5250
6 W 0.9941 0.5000 0.5250

=====

Calculated X-ray powder pattern of Pm6TmTh2 for Cu Kα, 1.54184 Å, from a crystal structure in Alexandria, relaxed with GGA-PBE.
Lines closer than 0.1° are merged.

The 6 most intense peaks (10° ≤ 2θ ≤ 90°), most intense first:
33.18°, I = 100
31.60°, I = 60
29.88°, I = 49
28.60°, I = 45
59.93°, I = 42
50.66°, I = 38

Structure:
Unit cell a=3.6040 b=3.6040 c=26.9136 alpha=90.00 beta=90.00 gamma=120.00
Sites, in units of the cell vectors:
1 Pm 0.0000 0.0000 0.0638
2 Pm 0.0000 0.0000 0.2811
3 Pm 0.0000 0.0000 0.7189
4 Pm 0.0000 0.0000 0.9362
5 Pm 0.3333 0.6667 0.3942
6 Pm 0.3333 0.6667 0.6058
7 Tm 0.0000 0.0000 0.5000
8 Th 0.3333 0.6667 0.1715
9 Th 0.3333 0.6667 0.8285

=====

Calculated X-ray powder pattern of Th8PdRu5 for Cu Kα, 1.54184 Å, from a crystal structure in Alexandria, relaxed with GGA-PBE.
Lines closer than 0.1° are merged.

The 6 most intense peaks (10° ≤ 2θ ≤ 90°), most intense first:
31.66°, I = 100
31.56°, I = 87
32.48°, I = 84
28.61°, I = 72
37.89°, I = 49
52.07°, I = 49

Structure:
Unit cell a=7.6856 b=7.6856 c=7.6856 alpha=108.64 beta=108.64 gamma=111.15
Sites, in units of the cell vectors:
1 Th 0.2669 0.5227 0.1418
2 Th 0.3809 0.1251 0.8582
3 Th 0.3873 0.1275 0.3683
4 Th 0.4773 0.6191 0.7443
5 Th 0.7592 0.0190 0.6317
6 Th 0.8725 0.2408 0.2598
7 Th 0.8749 0.7331 0.2557
8 Th 0.9810 0.6127 0.7402
9 Pd 0.0000 0.0000 0.0000
10 Ru 0.1215 0.2317 0.6134
11 Ru 0.2500 0.7500 0.5000
12 Ru 0.4919 0.8785 0.1102
13 Ru 0.6184 0.5081 0.3866
14 Ru 0.7683 0.3816 0.8898

=====

Calculated X-ray powder pattern of Cu8Pd3Rh for Cu Kα, 1.54184 Å, from a crystal structure in Alexandria, relaxed with GGA-PBE.
Lines closer than 0.1° are merged.

The 6 most intense peaks (10° ≤ 2θ ≤ 90°), most intense first:
47.68°, I = 100
37.70°, I = 74
28.11°, I = 62
42.54°, I = 50
31.45°, I = 41
58.13°, I = 40

Structure:
Unit cell a=6.3907 b=6.3907 c=6.3907 alpha=116.25 beta=116.25 gamma=96.63
Sites, in units of the cell vectors:
1 Cu 0.1190 0.1190 0.7314
2 Cu 0.2466 0.7434 0.0000
3 Cu 0.2566 0.2566 0.5032
4 Cu 0.3876 0.3876 0.2686
5 Cu 0.6124 0.8810 0.0000
6 Cu 0.7434 0.2466 0.0000
7 Cu 0.7534 0.7534 0.4968
8 Cu 0.8810 0.6124 0.0000
9 Pd 0.0000 0.0000 0.0000
10 Pd 0.2500 0.7500 0.5000
11 Pd 0.7500 0.2500 0.5000
12 Rh 0.5000 0.5000 0.0000

=====

Copy entry 8 word for word.
Calculated X-ray powder pattern of Mg2Co3Si4 for Cu Kα, 1.54184 Å, from a crystal structure in Alexandria, relaxed with GGA-PBE.
Lines closer than 0.1° are merged.

The 6 most intense peaks (10° ≤ 2θ ≤ 90°), most intense first:
15.63°, I = 100
44.13°, I = 62
43.34°, I = 59
45.01°, I = 41
21.65°, I = 27
52.65°, I = 26

Structure:
Unit cell a=7.1190 b=6.2197 c=5.0116 alpha=77.85 beta=58.66 gamma=43.49
Sites, in units of the cell vectors:
1 Mg 0.1215 0.1215 0.8785
2 Mg 0.8785 0.8785 0.1215
3 Co 0.0000 0.0000 0.5000
4 Co 0.5000 0.5000 0.0000
5 Co 0.5000 0.5000 0.5000
6 Si 0.1657 0.5214 0.4786
7 Si 0.4786 0.8343 0.1657
8 Si 0.5214 0.1657 0.8343
9 Si 0.8343 0.4786 0.5214